(1)
Structure and theoretical powder diffraction line list of Ni7Sn (a crystal structure in OQMD, relaxed with PBE; Cu Kα, 1.54184 Å).
No peak broadening, texture or thermal motion is included.

Peak list (10 most intense, 10° ≤ 2θ ≤ 90°, sorted by position)
(hkl)	2theta	d [Å]	I (rel.)
0 0 4	10.53	8.402	25
1 1 0	43.59	2.076	100
0 1 13	44.05	2.056	51
0 1 14	46.34	1.959	32
1 0 13	49.45	1.843	36
1 0 14	51.56	1.773	23
0 2 0	54.11	1.695	25
1 2 13	76.31	1.248	19
1 2 14	77.99	1.225	14
2 1 13	88.24	1.107	13

Cell and atoms:
a = 2.629 Å, b = 3.391 Å, c = 33.606 Å
α = 90.00°, β = 90.00°, γ = 90.00°
Space group Pmmn (No. 59, origin choice 2)
One atom of each set of equivalent atoms:
Ni  0.250  0.250  0.018 [2 per cell]
Ni  0.250  0.250  0.091 [2 per cell]
Ni  0.250  0.250  0.164 [2 per cell]
Ni  0.250  0.250  0.238 [2 per cell]
Ni  0.250  0.250  0.799 [2 per cell]
Ni  0.250  0.250  0.872 [2 per cell]
Ni  0.250  0.250  0.945 [2 per cell]
Sn  0.250  0.250  0.714 [2 per cell]

(2)
Structure and theoretical powder diffraction line list of NiSn4 (a crystal structure in OQMD, relaxed with PBE; Cu Kα, 1.54184 Å).
No peak broadening, texture or thermal motion is included.

Peak list (10 most intense, 10° ≤ 2θ ≤ 90°, sorted by position)
(hkl)	2theta	d [Å]	I (rel.)
2 0 0	28.19	3.165	24
0 0 2	30.88	2.896	28
2 1 1	35.28	2.544	100
2 2 0	40.29	2.238	11
2 0 2	42.30	2.137	38
3 1 0	45.30	2.002	15
2 1 3	57.80	1.595	25
4 1 1	62.59	1.484	33
3 3 2	71.07	1.326	16
4 1 3	79.81	1.202	17

Cell and atoms:
a = 6.331 Å, b = 6.331 Å, c = 5.792 Å
α = 90.00°, β = 90.00°, γ = 90.00°
Space group P4/nbm (No. 125, origin choice 2)
One atom of each set of equivalent atoms:
Ni  0.250  0.250  0.000 [2 per cell]
Sn  0.069  0.569  0.251 [8 per cell]

(3)
Structure and theoretical powder diffraction line list of Ta2Ni2Sn3 (a crystal structure in OQMD, relaxed with PBE; Cu Kα, 1.54184 Å).
No peak broadening, texture or thermal motion is included.

Peak list (10 most intense, 10° ≤ 2θ ≤ 90°, sorted by position)
(hkl)	2theta	d [Å]	I (rel.)
1 0 1	23.40	3.801	10
0 1 2	24.27	3.667	34
0 1 5	29.70	3.008	13
0 1 8	37.93	2.372	100
1 1 0	40.59	2.223	92
2 0 8	56.76	1.622	31
1 0 16	66.70	1.402	14
1 2 8	72.09	1.310	31
3 0 0	73.85	1.283	17
2 2 0	87.85	1.111	12

Cell and atoms:
a = 4.4452 Å, b = 4.4452 Å, c = 24.0932 Å
α = 90.00°, β = 90.00°, γ = 120.00°
Space group R3m (No. 160, hexagonal axes)
One atom of each set of equivalent atoms:
Ta  0.0000  0.0000  0.0000 [3 per cell]
Ta  0.0000  0.0000  0.4957 [3 per cell]
Ni  0.0000  0.0000  0.2492 [3 per cell]
Ni  0.0000  0.0000  0.7440 [3 per cell]
Sn  0.0000  0.0000  0.3854 [3 per cell]
Sn  0.0000  0.0000  0.6174 [3 per cell]
Sn  0.0000  0.0000  0.8634 [3 per cell]